Record 1
For Rb2Nd2MgW4O16, DFT lattice parameters and positions (GGA+U) gives the computed X-ray powder pattern in this record (CuKα).
Kinematic intensities with the Lorentz-polarization factor, no thermal factor.

Top 10 peaks for 10° ≤ 2θ ≤ 90°, by angle:
2θ/deg  Rel. int.  index
24.91  61  0 0 2
25.71  51  0 1 -2
26.82  42  2 1 2
27.25  93  0 2 0
28.50  95  2 0 2
28.96  100  2 2 0
30.73  59  2 0 0
30.97  60  0 1 2
31.72  42  2 2 2
48.08  51  4 2 2

Structure:
```
data_Rb2Nd2MgW4O16
_cell_length_a 7.573
_cell_length_b 7.597
_cell_length_c 8.215
_cell_angle_alpha 87.39
_cell_angle_beta 62.99
_cell_angle_gamma 61.89
_symmetry_space_group_name_H-M 'P 1'
_symmetry_Int_Tables_number 1
_symmetry_space_group_name_Hall 'P 1'
loop_
_atom_site_label
_atom_site_type_symbol
_atom_site_fract_x
_atom_site_fract_y
_atom_site_fract_z
Rb1 Rb 0.000 0.000 0.000
Rb2 Rb 0.396 0.493 0.740
Nd1 Nd 0.475 0.982 0.065
Nd2 Nd 0.948 0.478 0.665
Mg1 Mg 0.827 0.239 0.384
W1 W 0.028 0.911 0.553
W2 W 0.412 0.533 0.183
W3 W 0.522 0.938 0.537
W4 W 0.910 0.540 0.183
O1 O 0.097 0.252 0.195
O2 O 0.160 0.604 0.133
O3 O 0.196 0.589 0.453
O4 O 0.249 0.855 0.280
O5 O 0.289 0.864 0.596
O6 O 0.330 0.203 0.543
O7 O 0.460 0.954 0.783
O8 O 0.529 0.261 0.102
O9 O 0.578 0.599 0.962
O10 O 0.659 0.451 0.260
O11 O 0.663 0.849 0.252
O12 O 0.768 0.623 0.472
O13 O 0.777 0.003 0.470
O14 O 0.861 0.859 0.779
O15 O 0.899 0.212 0.596
O16 O 0.994 0.491 0.934
```


Record 2
For Rb2Nd2MgW4O16, DFT lattice parameters and positions (GGA+U) gives the computed X-ray powder pattern in this record (CuKα).
Kinematic intensities with the Lorentz-polarization factor, no thermal factor.

Top 10 peaks for 10° ≤ 2θ ≤ 90°, by angle:
2θ/deg  Rel. int.  index
15.39  24  0 2 0
26.86  97  2 2 0
28.34  100  2 2 -2
31.07  31  0 4 0
31.48  35  0 0 2
33.38  21  4 0 -2
34.01  15  3 1 0
44.81  29  0 4 2
46.24  20  4 4 -2
54.98  22  2 2 -4

Structure:
```
data_Rb2Nd2MgW4O16
_cell_length_a 10.770
_cell_length_b 11.515
_cell_length_c 7.535
_cell_angle_alpha 90.00
_cell_angle_beta 131.03
_cell_angle_gamma 90.00
_symmetry_space_group_name_H-M 'C 1 2 1'
_symmetry_Int_Tables_number 5
_symmetry_space_group_name_Hall 'C 2y'
loop_
_atom_site_label
_atom_site_type_symbol
_atom_site_fract_x
_atom_site_fract_y
_atom_site_fract_z
Rb1 Rb 0.000 0.000 0.000
Rb2 Rb 0.000 0.479 0.500
Nd1 Nd 0.000 0.037 0.500
Nd2 Nd 0.000 0.514 0.000
Mg1 Mg 0.000 0.244 0.000
W1 W 0.199 0.754 0.963
W2 W 0.209 0.772 0.476
O1 O 0.025 0.660 0.242
O2 O 0.032 0.863 0.728
O3 O 0.107 0.171 0.390
O4 O 0.117 0.348 0.927
O5 O 0.202 0.815 0.203
O6 O 0.221 0.418 0.378
O7 O 0.235 0.106 0.883
O8 O 0.238 0.696 0.753
```


Record 3
For Rb2Nd2MgW4O16, DFT lattice parameters and positions (GGA+U) gives the computed X-ray powder pattern in this record (CuKα).
Kinematic intensities with the Lorentz-polarization factor, no thermal factor.

Top 10 peaks for 10° ≤ 2θ ≤ 90°, by angle:
2θ/deg  Rel. int.  index
13.59  20  0 1 0
16.13  23  0 1 -1
24.15  36  0 0 2
25.10  28  0 1 -2
26.82  20  2 1 2
27.41  53  0 2 0
28.72  100  2 0 2
30.30  33  0 1 2
30.68  31  2 0 0
32.58  19  0 2 -2

Structure:
```
data_Rb2Nd2MgW4O16
_cell_length_a 7.543
_cell_length_b 7.606
_cell_length_c 8.366
_cell_angle_alpha 87.71
_cell_angle_beta 64.37
_cell_angle_gamma 61.23
_symmetry_space_group_name_H-M 'P 1'
_symmetry_Int_Tables_number 1
_symmetry_space_group_name_Hall 'P 1'
loop_
_atom_site_label
_atom_site_type_symbol
_atom_site_fract_x
_atom_site_fract_y
_atom_site_fract_z
Rb1 Rb 0.000 0.000 0.000
Rb2 Rb 0.487 0.412 0.597
Nd1 Nd 0.535 0.941 0.957
Nd2 Nd 0.951 0.461 0.634
Mg1 Mg 0.303 0.279 0.266
W1 W 0.050 0.890 0.482
W2 W 0.452 0.537 0.112
W3 W 0.554 0.892 0.471
W4 W 0.951 0.517 0.118
O1 O 0.029 0.465 0.876
O2 O 0.149 0.246 0.134
O3 O 0.175 0.588 0.069
O4 O 0.220 0.557 0.374
O5 O 0.271 0.844 0.211
O6 O 0.318 0.814 0.514
O7 O 0.331 0.174 0.469
O8 O 0.459 0.957 0.716
O9 O 0.558 0.237 0.036
O10 O 0.594 0.603 0.875
O11 O 0.700 0.451 0.163
O12 O 0.700 0.812 0.181
O13 O 0.808 0.584 0.400
O14 O 0.816 0.949 0.415
O15 O 0.903 0.812 0.698
O16 O 0.928 0.163 0.567
```


Record 4
For MgNi2O4, DFT lattice parameters and positions (GGA+U) gives the computed X-ray powder pattern in this record (CuKα).
Kinematic intensities with the Lorentz-polarization factor, no thermal factor.

Top 10 peaks for 10° ≤ 2θ ≤ 90°, by angle:
2θ/deg  Rel. int.  index
18.38  83  1 0 1
35.62  100  2 1 1
37.26  20  2 0 2
43.30  59  2 2 0
57.27  39  3 2 1
62.90  56  4 0 0
66.14  12  2 1 5
74.43  11  3 0 5
75.44  11  4 2 2
79.43  9  4 0 4

Structure:
```
data_MgNi2O4
_cell_length_a 5.908
_cell_length_b 5.908
_cell_length_c 8.367
_cell_angle_alpha 90.00
_cell_angle_beta 90.00
_cell_angle_gamma 90.00
_symmetry_space_group_name_H-M 'I 41/a m d'
_symmetry_Int_Tables_number 141
loop_
_symmetry_equiv_pos_as_xyz
'x,y,z'
'-x,-y,-z'
'-y+1/4,x+3/4,z+1/4'
'y+1/4,-x+3/4,-z+1/4'
'-x+1/2,-y,z+1/2'
'x+1/2,y,-z+1/2'
'y+1/4,-x+1/4,z+3/4'
'-y+1/4,x+1/4,-z+3/4'
'x,-y,-z'
'-x,y,z'
'-y+1/4,-x+1/4,-z+3/4'
'y+1/4,x+1/4,z+3/4'
'-x+1/2,y,-z+1/2'
'x+1/2,-y,z+1/2'
'y+1/4,x+3/4,-z+1/4'
'-y+1/4,-x+3/4,z+1/4'
'x+1/2,y+1/2,z+1/2'
'-x+1/2,-y+1/2,-z+1/2'
'-y+3/4,x+1/4,z+3/4'
'y+3/4,-x+1/4,-z+3/4'
'-x,-y+1/2,z'
'x,y+1/2,-z'
'y+3/4,-x+3/4,z+1/4'
'-y+3/4,x+3/4,-z+1/4'
'x+1/2,-y+1/2,-z+1/2'
'-x+1/2,y+1/2,z+1/2'
'-y+3/4,-x+3/4,-z+1/4'
'y+3/4,x+3/4,z+1/4'
'-x,y+1/2,-z'
'x,-y+1/2,z'
'y+3/4,x+1/4,-z+3/4'
'-y+3/4,-x+1/4,z+3/4'
loop_
_atom_site_label
_atom_site_type_symbol
_atom_site_fract_x
_atom_site_fract_y
_atom_site_fract_z
Mg1 Mg 0.000 0.250 0.375
Ni1 Ni 0.000 0.000 0.000
O1 O 0.000 0.024 0.762
```


Record 5
For MgNi2O4, DFT lattice parameters and positions (GGA+U) gives the computed X-ray powder pattern in this record (CuKα).
Kinematic intensities with the Lorentz-polarization factor, no thermal factor.

Top 10 peaks for 10° ≤ 2θ ≤ 90°, by angle:
2θ/deg  Rel. int.  index
19.60  100  0 0 2
29.59  57  0 0 3
33.55  24  0 1 0
33.85  45  1 1 0
38.81  53  0 1 2
39.47  63  1 0 2
39.72  56  1 1 -2
60.11  23  1 -1 0
60.25  23  1 2 0
60.75  22  2 1 0

Structure:
```
data_MgNi2O4
_cell_length_a 3.049
_cell_length_b 3.073
_cell_length_c 9.059
_cell_angle_alpha 88.87
_cell_angle_beta 89.65
_cell_angle_gamma 60.39
_symmetry_space_group_name_H-M 'P 1'
_symmetry_Int_Tables_number 1
_symmetry_space_group_name_Hall 'P 1'
loop_
_atom_site_label
_atom_site_type_symbol
_atom_site_fract_x
_atom_site_fract_y
_atom_site_fract_z
Mg1 Mg 0.000 0.000 0.000
Ni1 Ni 0.665 0.674 0.324
Ni2 Ni 0.666 0.668 0.732
O1 O 0.001 0.004 0.215
O2 O 0.330 0.341 0.425
O3 O 0.331 0.344 0.908
O4 O 0.998 0.010 0.647
```


Record 6
For MgNi2O4, DFT lattice parameters and positions (GGA+U) gives the computed X-ray powder pattern in this record (CuKα).
Kinematic intensities with the Lorentz-polarization factor, no thermal factor.

Top 10 peaks for 10° ≤ 2θ ≤ 90°, by angle:
2θ/deg  Rel. int.  index
20.23  31  1 0 2
20.51  46  2 0 0
35.24  46  0 0 4
35.75  87  3 0 2
37.18  100  1 1 2
37.35  44  2 1 0
52.28  51  2 1 4
52.79  30  4 1 0
64.54  30  6 0 0
65.07  27  4 1 4

Structure:
```
data_MgNi2O4
_cell_length_a 8.660
_cell_length_b 2.897
_cell_length_c 10.187
_cell_angle_alpha 90.00
_cell_angle_beta 90.00
_cell_angle_gamma 90.00
_symmetry_space_group_name_H-M 'P n m a'
_symmetry_Int_Tables_number 62
_symmetry_space_group_name_Hall '-P 2ac 2n'
loop_
_atom_site_label
_atom_site_type_symbol
_atom_site_fract_x
_atom_site_fract_y
_atom_site_fract_z
Mg1 Mg 0.245 0.250 0.161
Ni1 Ni 0.061 0.250 0.385
Ni2 Ni 0.086 0.250 0.900
O1 O 0.027 0.750 0.787
O2 O 0.096 0.250 0.575
O3 O 0.121 0.750 0.033
O4 O 0.211 0.750 0.323
```